Starting from a GGA-PBE-relaxed structure, the powder XRD pattern of Sc3P2 was calculated for Cu Kα (weighted mean of Kα1 and Kα2).
No peak broadening, texture or thermal motion is included.

Cell and atoms:
a = 6.924 Å, b = 3.780 Å, c = 14.417 Å
α = 90.00°, β = 90.00°, γ = 90.00°
Sites, in units of the cell vectors:
Sc (0.008, 0.250, 0.104)
Sc (0.135, 0.750, 0.432)
Sc (0.162, 0.250, 0.722)
Sc (0.338, 0.750, 0.222)
Sc (0.365, 0.250, 0.932)
Sc (0.492, 0.750, 0.604)
Sc (0.508, 0.250, 0.396)
Sc (0.635, 0.750, 0.068)
Sc (0.662, 0.250, 0.778)
Sc (0.838, 0.750, 0.278)
Sc (0.865, 0.250, 0.568)
Sc (0.992, 0.750, 0.896)
P (0.130, 0.250, 0.295)
P (0.241, 0.750, 0.042)
P (0.259, 0.250, 0.542)
P (0.370, 0.750, 0.795)
P (0.630, 0.250, 0.205)
P (0.741, 0.750, 0.458)
P (0.759, 0.250, 0.958)
P (0.870, 0.750, 0.705)

Peak list (10 most intense, 2θ = 10–80°, sorted by position)
29.64 deg, rel. 67
31.86 deg, rel. 30
33.67 deg, rel. 28
35.72 deg, rel. 32
35.97 deg, rel. 25
36.82 deg, rel. 28
37.38 deg, rel. 100
39.30 deg, rel. 38
41.49 deg, rel. 41
48.14 deg, rel. 40

Starting from a GGA-PBE-relaxed structure, the powder XRD pattern of Cd12Hg4Sb was calculated for Cu Kα (weighted mean of Kα1 and Kα2).
No peak broadening, texture or thermal motion is included.

Cell and atoms:
a = 8.595 Å, b = 8.595 Å, c = 8.595 Å
α = 109.50°, β = 109.50°, γ = 109.50°
Sites, in units of the cell vectors:
Cd (0.146, 0.350, 0.496)
Cd (0.146, 0.649, 0.796)
Cd (0.204, 0.854, 0.351)
Cd (0.350, 0.496, 0.146)
Cd (0.351, 0.204, 0.854)
Cd (0.496, 0.146, 0.350)
Cd (0.504, 0.854, 0.650)
Cd (0.649, 0.796, 0.146)
Cd (0.650, 0.504, 0.854)
Cd (0.796, 0.146, 0.649)
Cd (0.854, 0.351, 0.204)
Cd (0.854, 0.650, 0.504)
Hg (0.000, 0.000, 0.500)
Hg (0.000, 0.500, 0.000)
Hg (0.500, 0.000, 0.000)
Hg (0.500, 0.500, 0.500)
Sb (0.000, 0.000, 0.000)

Peak list (10 most intense, 2θ = 10–80°, sorted by position)
17.88 deg, rel. 26
25.40 deg, rel. 49
28.45 deg, rel. 100
31.23 deg, rel. 13
33.81 deg, rel. 37
40.67 deg, rel. 71
44.76 deg, rel. 63
46.69 deg, rel. 43
58.88 deg, rel. 22
68.17 deg, rel. 13

Starting from a GGA-PBE-relaxed structure, the powder XRD pattern of ErCrOs was calculated for Cu Kα (weighted mean of Kα1 and Kα2).
No peak broadening, texture or thermal motion is included.

Cell and atoms:
a = 5.222 Å, b = 5.222 Å, c = 5.222 Å
α = 121.53°, β = 116.11°, γ = 92.11°
Sites, in units of the cell vectors:
Er (0.376, 0.126, 0.250)
Er (0.624, 0.874, 0.750)
Cr (0.000, 0.000, 0.500)
Cr (0.000, 0.500, 0.000)
Os (0.000, 0.500, 0.500)
Os (0.500, 0.500, 0.000)

Peak list (10 most intense, 2θ = 10–80°, sorted by position)
24.57 deg, rel. 15
34.43 deg, rel. 42
35.19 deg, rel. 32
39.11 deg, rel. 100
40.91 deg, rel. 28
41.08 deg, rel. 28
41.35 deg, rel. 44
43.39 deg, rel. 23
65.77 deg, rel. 22
72.58 deg, rel. 29

Starting from a GGA-PBE-relaxed structure, the powder XRD pattern of Nd3TiAg3Se8 was calculated for Cu Kα (weighted mean of Kα1 and Kα2).
No peak broadening, texture or thermal motion is included.

Cell and atoms:
a = 8.148 Å, b = 8.148 Å, c = 8.167 Å
α = 118.23°, β = 118.23°, γ = 61.86°
Sites, in units of the cell vectors:
Nd (0.000, 0.000, 0.000)
Nd (0.000, 0.500, 0.500)
Nd (0.500, 0.000, 0.500)
Ti (0.500, 0.500, 0.000)
Ag (0.000, 0.500, 0.000)
Ag (0.500, 0.000, 0.000)
Ag (0.500, 0.500, 0.500)
Se (0.253, 0.253, 0.248)
Se (0.274, 0.274, 0.779)
Se (0.274, 0.720, 0.225)
Se (0.280, 0.726, 0.775)
Se (0.720, 0.274, 0.225)
Se (0.726, 0.280, 0.775)
Se (0.726, 0.726, 0.221)
Se (0.747, 0.747, 0.752)

Peak list (10 most intense, 2θ = 10–80°, sorted by position)
15.17 deg, rel. 11
30.61 deg, rel. 100
43.21 deg, rel. 36
44.40 deg, rel. 11
44.51 deg, rel. 23
53.88 deg, rel. 18
56.02 deg, rel. 6
63.68 deg, rel. 7
71.40 deg, rel. 9
73.28 deg, rel. 6

Starting from a GGA-PBE-relaxed structure, the powder XRD pattern of Mg2Sn2Ir was calculated for Cu Kα (weighted mean of Kα1 and Kα2).
No peak broadening, texture or thermal motion is included.

Cell and atoms:
a = 6.097 Å, b = 4.448 Å, c = 8.611 Å
α = 90.00°, β = 99.92°, γ = 90.00°
Sites, in units of the cell vectors:
Mg (0.024, 0.250, 0.119)
Mg (0.387, 0.250, 0.590)
Mg (0.613, 0.750, 0.410)
Mg (0.976, 0.750, 0.881)
Sn (0.106, 0.750, 0.388)
Sn (0.476, 0.750, 0.864)
Sn (0.524, 0.250, 0.136)
Sn (0.894, 0.250, 0.612)
Ir (0.224, 0.250, 0.858)
Ir (0.776, 0.750, 0.142)

Peak list (10 most intense, 2θ = 10–80°, sorted by position)
10.43 deg, rel. 47
16.55 deg, rel. 73
23.50 deg, rel. 40
26.04 deg, rel. 100
27.76 deg, rel. 36
39.15 deg, rel. 63
39.27 deg, rel. 59
40.57 deg, rel. 41
42.64 deg, rel. 31
49.92 deg, rel. 32

Starting from a GGA-PBE-relaxed structure, the powder XRD pattern of Pm3TmAu3 was calculated for Cu Kα (weighted mean of Kα1 and Kα2).
No peak broadening, texture or thermal motion is included.

Cell and atoms:
a = 7.280 Å, b = 7.280 Å, c = 7.296 Å
α = 90.98°, β = 90.98°, γ = 96.01°
Sites, in units of the cell vectors:
Pm (0.179, 0.821, 0.000)
Pm (0.261, 0.739, 0.500)
Pm (0.342, 0.342, 0.114)
Pm (0.658, 0.658, 0.886)
Pm (0.739, 0.261, 0.500)
Pm (0.821, 0.179, 0.000)
Tm (0.253, 0.253, 0.613)
Tm (0.747, 0.747, 0.387)
Au (0.025, 0.495, 0.778)
Au (0.062, 0.062, 0.312)
Au (0.495, 0.025, 0.778)
Au (0.505, 0.975, 0.222)
Au (0.938, 0.938, 0.688)
Au (0.975, 0.505, 0.222)

Peak list (10 most intense, 2θ = 10–80°, sorted by position)
12.23 deg, rel. 26
29.20 deg, rel. 32
31.00 deg, rel. 69
33.11 deg, rel. 56
34.58 deg, rel. 100
35.27 deg, rel. 22
36.39 deg, rel. 25
36.92 deg, rel. 24
40.65 deg, rel. 32
52.99 deg, rel. 21

Starting from a GGA-PBE-relaxed structure, the powder XRD pattern of Ir was calculated for Cu Kα (weighted mean of Kα1 and Kα2).
No peak broadening, texture or thermal motion is included.

Cell and atoms:
a = 2.740 Å, b = 2.740 Å, c = 2.740 Å
α = 60.00°, β = 60.00°, γ = 60.00°
Sites, in units of the cell vectors:
Ir (0.000, 0.000, 0.000)

Peak list (3 most intense, 2θ = 10–80°, sorted by position)
40.32 deg, rel. 100
46.90 deg, rel. 49
68.50 deg, rel. 32

Starting from a GGA-PBE-relaxed structure, the powder XRD pattern of AcAgPdF6 was calculated for Cu Kα (weighted mean of Kα1 and Kα2).
No peak broadening, texture or thermal motion is included.

Cell and atoms:
a = 5.903 Å, b = 5.903 Å, c = 5.396 Å
α = 90.00°, β = 90.00°, γ = 120.00°
Sites, in units of the cell vectors:
Ac (0.000, 0.000, 0.000)
Ag (0.333, 0.667, 0.500)
Pd (0.667, 0.333, 0.500)
F (0.351, 0.034, 0.736)
F (0.351, 0.317, 0.264)
F (0.683, 0.034, 0.264)
F (0.683, 0.649, 0.736)
F (0.966, 0.317, 0.736)
F (0.966, 0.649, 0.264)

Peak list (10 most intense, 2θ = 10–80°, sorted by position)
17.35 deg, rel. 11
23.98 deg, rel. 100
30.28 deg, rel. 37
38.99 deg, rel. 28
45.55 deg, rel. 41
50.14 deg, rel. 28
53.79 deg, rel. 14
54.05 deg, rel. 11
68.41 deg, rel. 11
71.68 deg, rel. 10

Starting from a GGA-PBE-relaxed structure, the powder XRD pattern of Hf2Bi2Te was calculated for Cu Kα (weighted mean of Kα1 and Kα2).
No peak broadening, texture or thermal motion is included.

Cell and atoms:
a = 8.123 Å, b = 5.932 Å, c = 12.340 Å
α = 90.00°, β = 90.00°, γ = 90.00°
Sites, in units of the cell vectors:
Hf (0.104, 0.250, 0.243)
Hf (0.126, 0.250, 0.919)
Hf (0.374, 0.750, 0.419)
Hf (0.396, 0.750, 0.743)
Hf (0.604, 0.250, 0.257)
Hf (0.626, 0.250, 0.581)
Hf (0.874, 0.750, 0.081)
Hf (0.896, 0.750, 0.757)
Bi (0.113, 0.750, 0.254)
Bi (0.163, 0.750, 0.933)
Bi (0.337, 0.250, 0.433)
Bi (0.387, 0.250, 0.754)
Bi (0.613, 0.750, 0.246)
Bi (0.663, 0.750, 0.567)
Bi (0.837, 0.250, 0.067)
Bi (0.887, 0.250, 0.746)
Te (0.136, 0.750, 0.588)
Te (0.364, 0.250, 0.088)
Te (0.636, 0.750, 0.912)
Te (0.864, 0.250, 0.412)

Peak list (10 most intense, 2θ = 10–80°, sorted by position)
13.05 deg, rel. 18
30.13 deg, rel. 56
30.95 deg, rel. 100
43.73 deg, rel. 79
44.03 deg, rel. 18
44.62 deg, rel. 14
54.27 deg, rel. 20
54.78 deg, rel. 16
71.50 deg, rel. 19
72.80 deg, rel. 19

Starting from a GGA-PBE-relaxed structure, the powder XRD pattern of Zr2PtRh3 was calculated for Cu Kα (weighted mean of Kα1 and Kα2).
No peak broadening, texture or thermal motion is included.

Cell and atoms:
a = 8.603 Å, b = 8.603 Å, c = 8.603 Å
α = 120.70°, β = 120.70°, γ = 88.80°
Sites, in units of the cell vectors:
Zr (0.273, 0.725, 0.548)
Zr (0.275, 0.323, 0.548)
Zr (0.275, 0.727, 0.952)
Zr (0.323, 0.275, 0.048)
Zr (0.677, 0.725, 0.952)
Zr (0.725, 0.273, 0.048)
Zr (0.725, 0.677, 0.452)
Zr (0.727, 0.275, 0.452)
Pt (0.094, 0.344, 0.750)
Pt (0.344, 0.094, 0.250)
Pt (0.656, 0.906, 0.750)
Pt (0.906, 0.656, 0.250)
Rh (0.000, 0.500, 0.500)
Rh (0.091, 0.341, 0.182)
Rh (0.091, 0.909, 0.750)
Rh (0.341, 0.091, 0.682)
Rh (0.341, 0.659, 0.250)
Rh (0.500, 0.000, 0.000)
Rh (0.500, 0.500, 0.000)
Rh (0.500, 0.500, 0.500)
Rh (0.659, 0.341, 0.750)
Rh (0.659, 0.909, 0.318)
Rh (0.909, 0.091, 0.250)
Rh (0.909, 0.659, 0.818)

Peak list (10 most intense, 2θ = 10–80°, sorted by position)
20.65 deg, rel. 48
36.44 deg, rel. 48
38.10 deg, rel. 36
38.60 deg, rel. 21
38.84 deg, rel. 51
42.02 deg, rel. 100
42.48 deg, rel. 52
58.37 deg, rel. 13
65.76 deg, rel. 17
66.84 deg, rel. 16